Theoretical powder diffraction line list of SmThSb2Rh5 for a wavelength of 1.5418 Å, from a crystal structure in Alexandria, relaxed with GGA-PBE.

Crystal structure
```
data_SmThSb2Rh5
_symmetry_space_group_name_H-M 'P 1'
_symmetry_Int_Tables_number 1
_cell_length_a 4.496
_cell_length_b 4.496
_cell_length_c 8.889
_cell_angle_alpha 90.00
_cell_angle_beta 90.00
_cell_angle_gamma 90.00
loop_
_symmetry_equiv_pos_as_xyz
'x,y,z'
loop_
_atom_site_label
_atom_site_fract_x
_atom_site_fract_y
_atom_site_fract_z
Sm1 0.000 0.000 0.000
Th1 0.000 0.000 0.500
Sb1 0.500 0.500 0.342
Sb2 0.500 0.500 0.658
Rh1 0.000 0.500 0.215
Rh2 0.000 0.500 0.785
Rh3 0.500 0.000 0.215
Rh4 0.500 0.000 0.785
Rh5 0.500 0.500 0.000
```

Main lines, in order of falling intensity (2θ from 5° to 70°):
2theta  Rel. int.
34.7  100.0
40.1  75.2
28.2  38.9
41.7  28.9
36.3  26.6
69.4  26.4

---

Theoretical powder diffraction line list of Sr2Sb2Rh for a wavelength of 1.5418 Å, from a crystal structure in Alexandria, relaxed with GGA-PBE.

Crystal structure
```
data_Sr2Sb2Rh
_symmetry_space_group_name_H-M 'P 1'
_symmetry_Int_Tables_number 1
_cell_length_a 6.373
_cell_length_b 6.373
_cell_length_c 12.033
_cell_angle_alpha 116.29
_cell_angle_beta 116.29
_cell_angle_gamma 42.62
loop_
_symmetry_equiv_pos_as_xyz
'x,y,z'
loop_
_atom_site_label
_atom_site_fract_x
_atom_site_fract_y
_atom_site_fract_z
Sr1 0.006 0.006 0.159
Sr2 0.176 0.176 0.612
Sr3 0.824 0.824 0.388
Sr4 0.994 0.994 0.841
Sb1 0.323 0.323 0.939
Sb2 0.480 0.480 0.639
Sb3 0.520 0.520 0.361
Sb4 0.677 0.677 0.061
Rh1 0.291 0.291 0.150
Rh2 0.709 0.709 0.850
```

Main lines, in order of falling intensity (2θ from 5° to 70°):
2theta  Rel. int.
36.4  100.0
29.7  98.5
29.9  69.8
38.9  63.8
8.4  53.3
32.5  51.9

---

Theoretical powder diffraction line list of Sr2Sb3Rh4 for a wavelength of 1.5418 Å, from a crystal structure in Alexandria, relaxed with GGA-PBE.

Crystal structure
```
data_Sr2Sb3Rh4
_symmetry_space_group_name_H-M 'P 1'
_symmetry_Int_Tables_number 1
_cell_length_a 8.630
_cell_length_b 8.630
_cell_length_c 7.557
_cell_angle_alpha 90.00
_cell_angle_beta 90.00
_cell_angle_gamma 137.52
loop_
_symmetry_equiv_pos_as_xyz
'x,y,z'
loop_
_atom_site_label
_atom_site_fract_x
_atom_site_fract_y
_atom_site_fract_z
Sr1 0.101 0.899 0.915
Sr2 0.399 0.601 0.415
Sr3 0.601 0.399 0.585
Sr4 0.899 0.101 0.085
Sb1 0.000 0.000 0.500
Sb2 0.014 0.486 0.750
Sb3 0.486 0.014 0.250
Sb4 0.500 0.500 0.000
Sb5 0.514 0.986 0.750
Sb6 0.986 0.514 0.250
Rh1 0.176 0.824 0.514
Rh2 0.177 0.323 0.750
Rh3 0.323 0.177 0.250
Rh4 0.324 0.676 0.014
Rh5 0.676 0.324 0.986
Rh6 0.677 0.823 0.750
Rh7 0.823 0.677 0.250
Rh8 0.824 0.176 0.486
```

Main lines, in order of falling intensity (2θ from 5° to 70°):
2theta  Rel. int.
37.3  100.0
33.5  55.9
41.3  34.6
32.9  29.1
67.7  22.5
44.5  22.3

---

Theoretical powder diffraction line list of TaSbRh for a wavelength of 1.5418 Å, from a crystal structure in Alexandria, relaxed with GGA-PBE.

Crystal structure
```
data_TaSbRh
_symmetry_space_group_name_H-M 'P 1'
_symmetry_Int_Tables_number 1
_cell_length_a 6.124
_cell_length_b 6.124
_cell_length_c 6.124
_cell_angle_alpha 150.16
_cell_angle_beta 150.16
_cell_angle_gamma 42.71
loop_
_symmetry_equiv_pos_as_xyz
'x,y,z'
loop_
_atom_site_label
_atom_site_fract_x
_atom_site_fract_y
_atom_site_fract_z
Ta1 0.000 0.000 0.000
Sb1 0.686 0.686 0.000
Rh1 0.372 0.372 0.000
```

Main lines, in order of falling intensity (2θ from 5° to 70°):
2theta  Rel. int.
37.0  100.0
40.5  42.7
64.4  21.4
58.5  14.3
15.5  11.3
47.8  9.1

---

Theoretical powder diffraction line list of Tb4Sb6Rh7 for a wavelength of 1.5418 Å, from a crystal structure in Alexandria, relaxed with GGA-PBE.

Crystal structure
```
data_Tb4Sb6Rh7
_symmetry_space_group_name_H-M 'P 1'
_symmetry_Int_Tables_number 1
_cell_length_a 7.621
_cell_length_b 7.621
_cell_length_c 7.621
_cell_angle_alpha 109.47
_cell_angle_beta 109.47
_cell_angle_gamma 109.47
loop_
_symmetry_equiv_pos_as_xyz
'x,y,z'
loop_
_atom_site_label
_atom_site_fract_x
_atom_site_fract_y
_atom_site_fract_z
Tb1 0.000 0.000 0.500
Tb2 0.000 0.500 0.000
Tb3 0.500 0.000 0.000
Tb4 0.500 0.500 0.500
Sb1 0.000 0.317 0.317
Sb2 0.000 0.683 0.683
Sb3 0.317 0.000 0.317
Sb4 0.317 0.317 0.000
Sb5 0.683 0.000 0.683
Sb6 0.683 0.683 0.000
Rh1 0.000 0.000 0.000
Rh2 0.250 0.500 0.750
Rh3 0.250 0.750 0.500
Rh4 0.500 0.250 0.750
Rh5 0.500 0.750 0.250
Rh6 0.750 0.250 0.500
Rh7 0.750 0.500 0.250
```

Main lines, in order of falling intensity (2θ from 5° to 70°):
2theta  Rel. int.
35.3  100.0
41.0  61.2
59.4  29.5
28.7  19.0
43.6  17.8
48.5  17.1

---

Theoretical powder diffraction line list of Tb2SbRh3 for a wavelength of 1.5418 Å, from a crystal structure in Alexandria, relaxed with GGA-PBE.

Crystal structure
```
data_Tb2SbRh3
_symmetry_space_group_name_H-M 'P 1'
_symmetry_Int_Tables_number 1
_cell_length_a 5.283
_cell_length_b 5.283
_cell_length_c 5.283
_cell_angle_alpha 65.23
_cell_angle_beta 65.23
_cell_angle_gamma 65.23
loop_
_symmetry_equiv_pos_as_xyz
'x,y,z'
loop_
_atom_site_label
_atom_site_fract_x
_atom_site_fract_y
_atom_site_fract_z
Tb1 0.128 0.128 0.128
Tb2 0.872 0.872 0.872
Sb1 0.500 0.500 0.500
Rh1 0.000 0.500 0.500
Rh2 0.500 0.000 0.500
Rh3 0.500 0.500 0.000
```

Main lines, in order of falling intensity (2θ from 5° to 70°):
2theta  Rel. int.
38.4  100.0
37.2  44.6
31.4  44.2
39.3  40.4
40.7  37.2
34.2  29.1

---

Theoretical powder diffraction line list of Tb12SbRh6 for a wavelength of 1.5418 Å, from a crystal structure in Alexandria, relaxed with GGA-PBE.

Crystal structure
```
data_Tb12SbRh6
_symmetry_space_group_name_H-M 'P 1'
_symmetry_Int_Tables_number 1
_cell_length_a 8.609
_cell_length_b 8.609
_cell_length_c 8.609
_cell_angle_alpha 109.47
_cell_angle_beta 109.47
_cell_angle_gamma 109.47
loop_
_symmetry_equiv_pos_as_xyz
'x,y,z'
loop_
_atom_site_label
_atom_site_fract_x
_atom_site_fract_y
_atom_site_fract_z
Tb1 0.113 0.303 0.810
Tb2 0.190 0.492 0.303
Tb3 0.190 0.887 0.697
Tb4 0.303 0.190 0.492
Tb5 0.303 0.810 0.113
Tb6 0.492 0.303 0.190
Tb7 0.507 0.697 0.810
Tb8 0.697 0.190 0.887
Tb9 0.697 0.810 0.507
Tb10 0.810 0.113 0.303
Tb11 0.810 0.507 0.697
Tb12 0.887 0.697 0.190
Sb1 0.000 0.000 0.000
Rh1 0.131 0.500 0.631
Rh2 0.369 0.869 0.500
Rh3 0.500 0.369 0.869
Rh4 0.500 0.631 0.131
Rh5 0.631 0.131 0.500
Rh6 0.869 0.500 0.369
```

Main lines, in order of falling intensity (2θ from 5° to 70°):
2theta  Rel. int.
33.7  100.0
57.1  30.9
31.2  29.4
46.6  22.9
53.8  22.4
28.4  18.1

---

Theoretical powder diffraction line list of Tb4SbRh2 for a wavelength of 1.5418 Å, from a crystal structure in Alexandria, relaxed with GGA-PBE.

Crystal structure
```
data_Tb4SbRh2
_symmetry_space_group_name_H-M 'P 1'
_symmetry_Int_Tables_number 1
_cell_length_a 8.575
_cell_length_b 8.575
_cell_length_c 6.955
_cell_angle_alpha 107.70
_cell_angle_beta 107.70
_cell_angle_gamma 120.18
loop_
_symmetry_equiv_pos_as_xyz
'x,y,z'
loop_
_atom_site_label
_atom_site_fract_x
_atom_site_fract_y
_atom_site_fract_z
Tb1 0.009 0.991 0.500
Tb2 0.133 0.697 0.828
Tb3 0.405 0.562 0.148
Tb4 0.542 0.965 0.699
Tb5 0.562 0.405 0.648
Tb6 0.697 0.133 0.328
Tb7 0.965 0.542 0.199
Tb8 0.991 0.009 0.000
Sb1 0.214 0.446 0.506
Sb2 0.446 0.214 0.006
Rh1 0.277 0.949 0.304
Rh2 0.606 0.774 0.971
Rh3 0.774 0.606 0.471
Rh4 0.949 0.277 0.804
```

Main lines, in order of falling intensity (2θ from 5° to 70°):
2theta  Rel. int.
32.9  100.0
36.0  51.6
29.0  50.8
32.0  46.0
33.1  40.1
32.1  39.1

---

Theoretical powder diffraction line list of TcSb8Rh2 for a wavelength of 1.5418 Å, from a crystal structure in Alexandria, relaxed with GGA-PBE.

Crystal structure
```
data_TcSb8Rh2
_symmetry_space_group_name_H-M 'P 1'
_symmetry_Int_Tables_number 1
_cell_length_a 5.183
_cell_length_b 7.764
_cell_length_c 7.882
_cell_angle_alpha 70.13
_cell_angle_beta 87.14
_cell_angle_gamma 87.43
loop_
_symmetry_equiv_pos_as_xyz
'x,y,z'
loop_
_atom_site_label
_atom_site_fract_x
_atom_site_fract_y
_atom_site_fract_z
Tc1 0.000 0.000 0.000
Sb1 0.236 0.605 0.561
Sb2 0.276 0.168 0.166
Sb3 0.304 0.703 0.137
Sb4 0.305 0.128 0.705
Sb5 0.695 0.872 0.295
Sb6 0.696 0.297 0.863
Sb7 0.724 0.832 0.834
Sb8 0.764 0.395 0.439
Rh1 0.258 0.364 0.372
Rh2 0.742 0.636 0.628
```

Main lines, in order of falling intensity (2θ from 5° to 70°):
2theta  Rel. int.
13.9  100.0
34.7  90.1
30.4  83.5
40.1  75.2
30.2  73.8
27.9  73.6

---

Theoretical powder diffraction line list of ThSb6Rh12 for a wavelength of 1.5418 Å, from a crystal structure in Alexandria, relaxed with GGA-PBE.

Crystal structure
```
data_ThSb6Rh12
_symmetry_space_group_name_H-M 'P 1'
_symmetry_Int_Tables_number 1
_cell_length_a 7.532
_cell_length_b 7.532
_cell_length_c 7.532
_cell_angle_alpha 107.32
_cell_angle_beta 107.32
_cell_angle_gamma 107.32
loop_
_symmetry_equiv_pos_as_xyz
'x,y,z'
loop_
_atom_site_label
_atom_site_fract_x
_atom_site_fract_y
_atom_site_fract_z
Th1 0.000 0.000 0.000
Sb1 0.269 0.269 0.701
Sb2 0.269 0.701 0.269
Sb3 0.299 0.731 0.731
Sb4 0.701 0.269 0.269
Sb5 0.731 0.299 0.731
Sb6 0.731 0.731 0.299
Rh1 0.124 0.500 0.876
Rh2 0.124 0.876 0.500
Rh3 0.156 0.386 0.386
Rh4 0.386 0.156 0.386
Rh5 0.386 0.386 0.156
Rh6 0.500 0.124 0.876
Rh7 0.500 0.876 0.124
Rh8 0.614 0.614 0.844
Rh9 0.614 0.844 0.614
Rh10 0.844 0.614 0.614
Rh11 0.876 0.124 0.500
Rh12 0.876 0.500 0.124
```

Main lines, in order of falling intensity (2θ from 5° to 70°):
2theta  Rel. int.
32.6  100.0
48.6  77.5
35.7  77.2
47.1  74.4
43.4  48.3
38.9  43.9

---

Theoretical powder diffraction line list of ThSbRh6 for a wavelength of 1.5418 Å, from a crystal structure in Alexandria, relaxed with GGA-PBE.

Crystal structure
```
data_ThSbRh6
_symmetry_space_group_name_H-M 'P 1'
_symmetry_Int_Tables_number 1
_cell_length_a 5.724
_cell_length_b 5.724
_cell_length_c 4.060
_cell_angle_alpha 90.00
_cell_angle_beta 90.00
_cell_angle_gamma 90.00
loop_
_symmetry_equiv_pos_as_xyz
'x,y,z'
loop_
_atom_site_label
_atom_site_fract_x
_atom_site_fract_y
_atom_site_fract_z
Th1 0.000 0.000 0.000
Sb1 0.500 0.500 0.000
Rh1 0.000 0.500 0.000
Rh2 0.259 0.259 0.500
Rh3 0.259 0.741 0.500
Rh4 0.500 0.000 0.000
Rh5 0.741 0.259 0.500
Rh6 0.741 0.741 0.500
```

Main lines, in order of falling intensity (2θ from 5° to 70°):
2theta  Rel. int.
38.5  100.0
44.8  32.3
65.1  20.9
44.6  16.5
65.2  10.3
21.9  5.5

---

Theoretical powder diffraction line list of Tm2Sb4Rh9 for a wavelength of 1.5418 Å, from a crystal structure in Alexandria, relaxed with GGA-PBE.

Crystal structure
```
data_Tm2Sb4Rh9
_symmetry_space_group_name_H-M 'P 1'
_symmetry_Int_Tables_number 1
_cell_length_a 4.418
_cell_length_b 4.418
_cell_length_c 16.022
_cell_angle_alpha 90.00
_cell_angle_beta 90.00
_cell_angle_gamma 120.00
loop_
_symmetry_equiv_pos_as_xyz
'x,y,z'
loop_
_atom_site_label
_atom_site_fract_x
_atom_site_fract_y
_atom_site_fract_z
Tm1 0.333 0.667 0.257
Tm2 0.667 0.333 0.743
Sb1 0.333 0.667 0.609
Sb2 0.333 0.667 0.887
Sb3 0.667 0.333 0.113
Sb4 0.667 0.333 0.391
Rh1 0.000 0.000 0.000
Rh2 0.000 0.000 0.165
Rh3 0.000 0.000 0.351
Rh4 0.000 0.000 0.649
Rh5 0.000 0.000 0.835
Rh6 0.333 0.667 0.065
Rh7 0.333 0.667 0.447
Rh8 0.667 0.333 0.553
Rh9 0.667 0.333 0.935
```

Main lines, in order of falling intensity (2θ from 5° to 70°):
2theta  Rel. int.
40.9  100.0
36.6  58.5
41.2  50.7
28.7  18.9
56.0  16.9
59.4  16.9

---

Theoretical powder diffraction line list of Tm4SbRh for a wavelength of 1.5418 Å, from a crystal structure in Alexandria, relaxed with GGA-PBE.

Crystal structure
```
data_Tm4SbRh
_symmetry_space_group_name_H-M 'P 1'
_symmetry_Int_Tables_number 1
_cell_length_a 8.010
_cell_length_b 4.038
_cell_length_c 18.877
_cell_angle_alpha 90.00
_cell_angle_beta 90.00
_cell_angle_gamma 90.00
loop_
_symmetry_equiv_pos_as_xyz
'x,y,z'
loop_
_atom_site_label
_atom_site_fract_x
_atom_site_fract_y
_atom_site_fract_z
Tm1 0.001 0.250 0.068
Tm2 0.041 0.250 0.785
Tm3 0.139 0.250 0.354
Tm4 0.142 0.250 0.552
Tm5 0.358 0.750 0.052
Tm6 0.361 0.750 0.854
Tm7 0.459 0.750 0.285
Tm8 0.499 0.750 0.568
Tm9 0.501 0.250 0.432
Tm10 0.541 0.250 0.715
Tm11 0.639 0.250 0.146
Tm12 0.642 0.250 0.948
Tm13 0.858 0.750 0.448
Tm14 0.861 0.750 0.646
Tm15 0.959 0.750 0.215
Tm16 0.999 0.750 0.932
Sb1 0.240 0.750 0.690
Sb2 0.260 0.250 0.190
Sb3 0.740 0.750 0.810
Sb4 0.760 0.250 0.310
Rh1 0.245 0.750 0.450
Rh2 0.255 0.250 0.950
Rh3 0.745 0.750 0.050
Rh4 0.755 0.250 0.550
```

Main lines, in order of falling intensity (2θ from 5° to 70°):
2theta  Rel. int.
31.2  100.0
34.6  67.8
32.5  36.7
31.5  36.3
44.9  35.7
33.9  35.4